# PrY2Cu2
Calculated powder X-ray diffraction pattern, Cu Kα, 1.54184 Å. Input: DFT lattice parameters and positions (PBE).
Neutral-atom scattering factors, no anomalous dispersion.

Cell: 5.0461 4.6988 10.8297 Å, 90.00 96.72 90.00°
Element x y z (fractional)
Pr: 0.1907 0.2500 0.2425
Pr: 0.8093 0.7500 0.7575
Y: 0.2489 0.7500 0.4953
Y: 0.3453 0.2500 0.8857
Y: 0.6547 0.7500 0.1143
Y: 0.7511 0.2500 0.5047
Cu: 0.1242 0.7500 0.0054
Cu: 0.2846 0.2500 0.6330
Cu: 0.7154 0.7500 0.3670
Cu: 0.8758 0.2500 0.9946

Main lines, in order of rising 2θ (2θ = 10–80°):
2θ/deg  I_rel
29.77  100
31.39  69
32.07  47
32.36  33
35.83  53
38.31  58